# ZnInCl
Calculated X-ray diffraction stick pattern, CuKα. Input: a structure optimized by DFT (GGA-PBE).

Cell and atoms:
abc: 15.642 3.384 5.848
angles: 90.00 90.00 90.00
Sites, in units of the cell vectors:
1 Zn 0.000 0.000 0.000
2 Zn 0.000 0.500 0.500
3 Zn 0.500 0.000 0.219
4 Zn 0.500 0.500 0.719
5 In 0.352 0.000 0.885
6 In 0.352 0.500 0.385
7 In 0.648 0.000 0.885
8 In 0.648 0.500 0.385
9 Cl 0.099 0.000 0.334
10 Cl 0.099 0.500 0.834
11 Cl 0.901 0.000 0.334
12 Cl 0.901 0.500 0.834

The 10 most intense peaks (2θ from 10° to 90°), low angle first:
- 2θ = 11.3°, 7.821 Å, intensity 26
- 2θ = 17.0°, 5.214 Å, intensity 39
- 2θ = 30.5°, 2.927 Å, intensity 42
- 2θ = 31.1°, 2.878 Å, intensity 16
- 2θ = 32.7°, 2.743 Å, intensity 17
- 2θ = 35.2°, 2.553 Å, intensity 100
- 2θ = 38.4°, 2.343 Å, intensity 32
- 2θ = 42.3°, 2.138 Å, intensity 18
- 2θ = 46.6°, 1.947 Å, intensity 22
- 2θ = 54.6°, 1.679 Å, intensity 16


# Rb2TlPbS4
Calculated X-ray diffraction stick pattern, CuKα. Input: a structure optimized by DFT (GGA-PBE).

Cell and atoms:
abc: 8.649 8.649 8.497
angles: 119.21 119.21 90.53
Sites, in units of the cell vectors:
1 Rb 0.000 0.000 0.000
2 Rb 0.000 0.000 0.500
3 Rb 0.000 0.500 0.000
4 Rb 0.500 0.000 0.500
5 Tl 0.500 0.500 0.000
6 Tl 0.500 0.500 0.500
7 Pb 0.000 0.500 0.500
8 Pb 0.500 0.000 0.000
9 S 0.267 0.732 0.969
10 S 0.268 0.733 0.531
11 S 0.276 0.303 0.536
12 S 0.303 0.276 0.036
13 S 0.697 0.724 0.964
14 S 0.724 0.697 0.464
15 S 0.732 0.267 0.469
16 S 0.733 0.268 0.031

The 10 most intense peaks (2θ from 10° to 90°), low angle first:
- 2θ = 12.4°, 7.141 Å, intensity 27
- 2θ = 12.7°, 6.989 Å, intensity 25
- 2θ = 24.9°, 3.571 Å, intensity 60
- 2θ = 25.5°, 3.495 Å, intensity 56
- 2θ = 29.1°, 3.067 Å, intensity 100
- 2θ = 29.4°, 3.042 Å, intensity 48
- 2θ = 41.6°, 2.169 Å, intensity 36
- 2θ = 41.8°, 2.162 Å, intensity 36
- 2θ = 49.1°, 1.855 Å, intensity 23
- 2θ = 51.2°, 1.785 Å, intensity 19


# Ca3Tl2SbPd8
Calculated X-ray diffraction stick pattern, CuKα. Input: a structure optimized by DFT (GGA-PBE).

Cell and atoms:
abc: 5.563 5.563 10.639
angles: 90.00 90.00 120.00
Sites, in units of the cell vectors:
1 Ca 0.000 0.000 0.000
2 Ca 0.333 0.667 0.567
3 Ca 0.667 0.333 0.433
4 Tl 0.333 0.667 0.087
5 Tl 0.667 0.333 0.913
6 Sb 0.000 0.000 0.500
7 Pd 0.167 0.334 0.298
8 Pd 0.167 0.833 0.298
9 Pd 0.333 0.667 0.835
10 Pd 0.334 0.167 0.702
11 Pd 0.666 0.833 0.298
12 Pd 0.667 0.333 0.165
13 Pd 0.833 0.167 0.702
14 Pd 0.833 0.666 0.702

The 10 most intense peaks (2θ from 10° to 90°), low angle first:
- 2θ = 20.2°, 4.389 Å, intensity 96
- 2θ = 32.2°, 2.782 Å, intensity 56
- 2θ = 36.4°, 2.465 Å, intensity 43
- 2θ = 38.3°, 2.350 Å, intensity 55
- 2θ = 38.7°, 2.329 Å, intensity 100
- 2θ = 41.1°, 2.194 Å, intensity 54
- 2θ = 41.2°, 2.189 Å, intensity 36
- 2θ = 45.5°, 1.993 Å, intensity 44
- 2θ = 61.7°, 1.503 Å, intensity 50
- 2θ = 82.9°, 1.164 Å, intensity 36